# Sr3LaNi2O8
Simulated powder diffraction line list, Cu Ka. Input: the GGA+U geometry in the Materials Project.

Atomic structure:
a b c (Å): 5.4801 6.7741 6.7741
angles (deg): 47.71 90.00 90.00
Fractional positions:
Sr  0.0000  0.0000  0.0000
Sr  0.0000  0.2804  0.2804
Sr  0.5000  0.7832  0.7832
La  0.5000  0.5027  0.5027
Ni  0.0000  0.6431  0.6431
Ni  0.5000  0.1442  0.1442
O  0.0000  0.4814  0.4814
O  0.0000  0.7999  0.7999
O  0.2548  0.3932  0.8833
O  0.2548  0.8833  0.3932
O  0.5000  0.3086  0.3086
O  0.5000  0.9829  0.9829
O  0.7452  0.3932  0.8833
O  0.7452  0.8833  0.3932

Principal peaks in the range 2θ = 10–80°, low angle first:
- 31.66 deg, intensity 100.0
- 32.69 deg, intensity 75.4
- 43.34 deg, intensity 18.4
- 43.84 deg, intensity 12.8
- 44.13 deg, intensity 27.1
- 46.90 deg, intensity 40.5
- 55.74 deg, intensity 13.7
- 57.69 deg, intensity 37.1
- 66.13 deg, intensity 13.2
- 68.49 deg, intensity 11.9